Diffraction record for Li2MnVP2O8F2. The powder X-ray diffraction pattern is simulated, not measured: it uses a crystal structure in the Materials Project, relaxed with PBE+U and Cu Kα, 1.54184 Å.
Lines closer than 0.1° are merged.

Largest 10 diffraction maxima, by angle, 2θ from 5° to 70°:
- hkl 1 1 1, 17.92 deg, I = 346
- hkl 1 0 -1, 18.22 deg, I = 401
- hkl 1 1 -1, 18.68 deg, I = 631
- hkl 0 1 2, 25.69 deg, I = 307
- hkl -1 1 1, 26.06 deg, I = 981
- hkl 1 -1 1, 26.36 deg, I = 1000
- hkl 0 1 -2, 26.54 deg, I = 281
- hkl 2 2 0, 29.23 deg, I = 984
- hkl 1 1 3, 36.35 deg, I = 332
- hkl 2 4 -2, 55.72 deg, I = 314

Atomic structure:
Cell lengths 6.951, 7.444, 7.964 Å; angles 87.42, 88.35, 63.12 degrees
Space group P-1 (No. 2)
Asymmetric unit:
Li 0.244 0.314 0.329 x2
Li 0.253 0.690 0.175 x2
Mn 0.500 0.000 0.000 x1
Mn 0.500 0.500 0.500 x1
V 0.000 0.000 0.500 x1
V 0.000 0.500 0.000 x1
P 0.222 0.261 0.662 x2
P 0.286 0.735 0.839 x2
O 0.014 0.380 0.767 x2
O 0.098 0.885 0.731 x2
O 0.173 0.156 0.517 x2
O 0.223 0.588 0.941 x2
O 0.282 0.416 0.562 x2
O 0.342 0.840 0.982 x2
O 0.411 0.111 0.771 x2
O 0.493 0.612 0.730 x2
F 0.221 0.249 0.104 x2
F 0.257 0.772 0.394 x2


Diffraction record for Li2MnSO4F3. The powder X-ray diffraction pattern is simulated, not measured: it uses a crystal structure in the Materials Project, relaxed with PBE+U and Cu Kα, 1.54184 Å.
Lines closer than 0.1° are merged.

Largest 10 diffraction maxima, by angle, 2θ from 5° to 70°:
- hkl 1 1 0, 15.04 deg, I = 537
- hkl 2 0 0, 18.58 deg, I = 1000
- hkl 1 1 1, 19.37 deg, I = 549
- hkl 1 1 2, 28.79 deg, I = 917
- hkl 2 2 1, 32.80 deg, I = 271
- hkl 0 2 2, 34.34 deg, I = 310
- hkl 2 2 2, 39.33 deg, I = 220
- hkl 2 3 1, 42.75 deg, I = 134
- hkl 4 2 2, 51.90 deg, I = 152
- hkl 1 1 4, 52.54 deg, I = 130

Atomic structure:
Cell lengths 9.549, 7.480, 7.294 Å; angles 90.00, 90.00, 90.00 degrees
Space group Pbcn (No. 60)
Asymmetric unit:
Li 0.199 0.158 0.226 x8
Mn 0.000 0.500 0.000 x4
S 0.000 0.167 0.750 x4
O 0.084 0.289 0.624 x8
O 0.102 0.058 0.846 x8
F 0.000 0.336 0.250 x4
F 0.179 0.408 0.975 x8


Diffraction record for LiMnSO4F. The powder X-ray diffraction pattern is simulated, not measured: it uses a crystal structure in the Materials Project, relaxed with PBE+U and Cu Kα, 1.54184 Å.
Lines closer than 0.1° are merged.

Largest 10 diffraction maxima, by angle, 2θ from 5° to 70°:
- hkl 0 1 -1, 17.35 deg, I = 258
- hkl 1 0 0, 18.16 deg, I = 578
- hkl 1 -1 0, 21.85 deg, I = 172
- hkl -1 1 1, 25.16 deg, I = 335
- hkl 0 1 -2, 25.96 deg, I = 1000
- hkl 1 0 -2, 26.07 deg, I = 458
- hkl 1 1 0, 27.54 deg, I = 867
- hkl -1 1 2, 33.94 deg, I = 188
- hkl 1 -2 0, 34.82 deg, I = 292
- hkl 2 1 0, 44.26 deg, I = 174

Atomic structure:
Cell lengths 5.277, 5.671, 7.574 Å; angles 107.14, 108.42, 96.34 degrees
Space group P-1 (No. 2)
Asymmetric unit:
Li 0.239 0.380 0.207 x2
Mn 0.500 0.000 0.000 x1
Mn 0.500 0.000 0.500 x1
S 0.173 0.369 0.757 x2
O 0.100 0.751 0.400 x2
O 0.172 0.641 0.851 x2
O 0.226 0.248 0.912 x2
O 0.393 0.349 0.671 x2
F 0.379 0.102 0.245 x2